For LiP4Br, a cell relaxed with GGA-PBE gives the calculated PXRD pattern in this record (Cu Kα (λ = 1.5418 Å)).

Crystal structure
Unit cell a=8.551 b=8.551 c=8.551 alpha=90.00 beta=90.00 gamma=90.00
Space group F-43m (No. 216)
Symmetry-distinct sites (fractional):
Li  0.000  0.000  0.000 (multiplicity 4)
P  0.091  0.091  0.591 (multiplicity 16)
Br  0.250  0.250  0.250 (multiplicity 4)

Peak list (12 most intense, 15° ≤ 2θ ≤ 90°, by angle)
- 2θ = 17.97°, d = 4.937 Å, intensity 100.0
- 2θ = 29.55°, d = 3.023 Å, intensity 56.5
- 2θ = 34.80°, d = 2.578 Å, intensity 86.6
- 2θ = 36.40°, d = 2.468 Å, intensity 23.6
- 2θ = 47.56°, d = 1.912 Å, intensity 29.5
- 2θ = 52.42°, d = 1.745 Å, intensity 20.1
- 2θ = 55.87°, d = 1.646 Å, intensity 38.5
- 2θ = 61.33°, d = 1.512 Å, intensity 10.9
- 2θ = 64.47°, d = 1.445 Å, intensity 19.6
- 2θ = 65.50°, d = 1.425 Å, intensity 14.8
- 2θ = 84.86°, d = 1.143 Å, intensity 13.6
- 2θ = 87.66°, d = 1.113 Å, intensity 19.0